(1)
Structure and calculated XRD peak list of AgB3O5 (a GGA-PBE-relaxed structure; CuKα).

Structural model:
```
AgB3O5
1.0
10.392 0.000 0.000
0.000 8.397 0.000
0.000 0.000 3.936
Ag B O
4 12 20
Direct
0.080 0.092 0.000
0.420 0.592 0.500
0.580 0.408 0.000
0.920 0.908 0.500
0.029 0.399 0.580
0.162 0.747 0.850
0.187 0.461 0.038
0.313 0.961 0.538
0.338 0.247 0.350
0.471 0.899 0.080
0.529 0.101 0.580
0.662 0.753 0.850
0.687 0.039 0.038
0.813 0.539 0.538
0.838 0.253 0.350
0.971 0.601 0.080
0.033 0.745 0.945
0.073 0.507 0.279
0.135 0.355 0.786
0.204 0.890 0.716
0.235 0.613 0.890
0.265 0.113 0.390
0.296 0.390 0.216
0.365 0.855 0.286
0.427 0.007 0.779
0.467 0.245 0.445
0.533 0.755 0.945
0.573 0.993 0.279
0.635 0.145 0.786
0.704 0.610 0.716
0.735 0.887 0.890
0.765 0.387 0.390
0.796 0.110 0.216
0.865 0.645 0.286
0.927 0.493 0.779
0.967 0.255 0.445
```

The 6 most intense peaks (2θ = 10–90°), low angle first:
13.56°, I 85.2; 28.45°, I 85.1; 32.34°, I 90.2; 36.16°, I 100.0; 36.46°, I 39.2; 39.51°, I 40.9



(2)
Structure and calculated XRD peak list of CdGa2Se4 (a GGA-PBE-relaxed structure; CuKα).

Structural model:
```
CdGa2Se4
1.0
-2.938 2.938 5.496
2.938 -2.938 5.496
2.938 2.938 -5.496
Cd Ga Se
1 2 4
Direct
0.000 0.000 0.000
0.250 0.750 0.500
0.500 0.500 0.000
0.124 0.135 0.535
0.411 0.876 0.011
0.600 0.589 0.465
0.865 0.400 0.989
```

The 6 most intense peaks (2θ = 10–90°), low angle first:
26.90°, I 100.0; 43.57°, I 25.7; 45.18°, I 44.9; 51.95°, I 29.7; 54.76°, I 11.9; 81.15°, I 14.0



(3)
Structure and calculated XRD peak list of CaMg5P3CO16 (a GGA-PBE-relaxed structure; CuKα).

Structural model:
```
CaMg5P3CO16
1.0
6.365 0.000 0.000
-0.508 8.796 0.000
-2.118 -1.118 10.684
Ca Mg P C O
2 10 6 2 32
Direct
0.124 0.316 0.063
0.876 0.684 0.937
0.085 0.821 0.672
0.310 0.036 0.901
0.330 0.868 0.451
0.344 0.530 0.620
0.411 0.649 0.182
0.589 0.351 0.818
0.656 0.470 0.380
0.670 0.132 0.549
0.690 0.964 0.099
0.915 0.179 0.328
0.202 0.968 0.170
0.212 0.159 0.609
0.369 0.669 0.925
0.631 0.331 0.075
0.788 0.841 0.391
0.798 0.032 0.830
0.149 0.485 0.338
0.851 0.515 0.662
0.009 0.110 0.912
0.016 0.823 0.467
0.024 0.582 0.637
0.154 0.519 0.227
0.160 0.123 0.238
0.204 0.049 0.710
0.219 0.577 0.995
0.238 0.794 0.863
0.299 0.851 0.261
0.321 0.514 0.425
0.326 0.316 0.671
0.345 0.091 0.515
0.353 0.756 0.605
0.368 0.004 0.089
0.440 0.266 0.965
0.465 0.572 0.827
0.535 0.428 0.173
0.560 0.734 0.035
0.632 0.996 0.911
0.647 0.244 0.395
0.655 0.909 0.485
0.674 0.684 0.329
0.679 0.486 0.575
0.701 0.149 0.739
0.762 0.206 0.137
0.781 0.423 0.005
0.796 0.951 0.290
0.840 0.877 0.762
0.846 0.481 0.773
0.976 0.418 0.363
0.984 0.177 0.533
0.991 0.890 0.088
```

The 6 most intense peaks (2θ = 10–90°), low angle first:
30.68°, I 79.9; 30.94°, I 48.7; 31.27°, I 78.0; 31.77°, I 63.4; 32.66°, I 100.0; 34.06°, I 53.1



(4)
Structure and calculated XRD peak list of Na2NpC2O8 (a GGA-PBE-relaxed structure; CuKα).

Structural model:
```
Na2NpC2O8
1.0
6.055 0.000 0.000
0.000 18.389 0.000
-0.199 0.000 6.906
Na Np C O
8 4 8 32
Direct
0.117 0.181 0.042
0.117 0.319 0.542
0.337 0.586 0.522
0.337 0.914 0.022
0.663 0.086 0.978
0.663 0.414 0.478
0.883 0.681 0.458
0.883 0.819 0.958
0.061 0.592 0.979
0.061 0.908 0.479
0.939 0.092 0.521
0.939 0.408 0.021
0.402 0.740 0.975
0.402 0.760 0.475
0.450 0.172 0.540
0.450 0.328 0.040
0.550 0.672 0.960
0.550 0.828 0.460
0.598 0.240 0.525
0.598 0.260 0.025
0.021 0.598 0.715
0.021 0.902 0.215
0.113 0.605 0.240
0.113 0.895 0.740
0.186 0.020 0.476
0.186 0.480 0.976
0.194 0.727 0.970
0.194 0.773 0.470
0.243 0.181 0.511
0.243 0.319 0.011
0.330 0.037 0.052
0.330 0.463 0.552
0.451 0.613 0.918
0.451 0.887 0.418
0.494 0.699 0.489
0.494 0.801 0.989
0.506 0.199 0.011
0.506 0.301 0.511
0.549 0.113 0.582
0.549 0.387 0.082
0.670 0.537 0.448
0.670 0.963 0.948
0.757 0.681 0.989
0.757 0.819 0.489
0.806 0.227 0.530
0.806 0.273 0.030
0.814 0.520 0.024
0.814 0.980 0.524
0.887 0.105 0.260
0.887 0.395 0.760
0.979 0.098 0.785
0.979 0.402 0.285
```

The 6 most intense peaks (2θ = 10–90°), low angle first:
13.70°, I 100.0; 14.63°, I 51.0; 19.82°, I 37.2; 20.37°, I 49.2; 25.80°, I 43.5; 27.48°, I 25.3



(5)
Structure and calculated XRD peak list of In3S4 (a GGA-PBE-relaxed structure; CuKα).

Structural model:
```
In3S4
1.0
0.000 5.581 5.581
5.581 0.000 5.581
5.581 5.581 0.000
In S
6 8
Direct
0.000 0.000 0.000
0.000 0.000 0.500
0.000 0.500 0.000
0.375 0.375 0.375
0.500 0.000 0.000
0.625 0.625 0.625
0.221 0.760 0.760
0.240 0.240 0.240
0.240 0.240 0.779
0.240 0.779 0.240
0.760 0.221 0.760
0.760 0.760 0.221
0.760 0.760 0.760
0.779 0.240 0.240
```

The 6 most intense peaks (2θ = 10–90°), low angle first:
22.53°, I 27.6; 26.48°, I 100.0; 32.07°, I 24.3; 42.06°, I 45.1; 45.99°, I 63.4; 64.07°, I 21.9